Record 1
Ti2Al2Ir: simulated powder XRD pattern (copper Kα), based on the PBE geometry in Alexandria.
Intensities are scaled so that the largest is 100.

Atomic structure:
Unit cell a=6.4552 b=6.4552 c=3.8189 alpha=90.00 beta=90.00 gamma=90.00
Fractional positions:
Ti  0.1654  0.3346  0.0000
Ti  0.3346  0.8346  0.0000
Ti  0.6654  0.1654  0.0000
Ti  0.8346  0.6654  0.0000
Al  0.1382  0.6382  0.5000
Al  0.3618  0.1382  0.5000
Al  0.6382  0.8618  0.5000
Al  0.8618  0.3618  0.5000
Ir  0.0000  0.0000  0.5000
Ir  0.5000  0.5000  0.5000

Principal peaks in the range 2θ from 10° to 90°, in order of rising 2θ:
2θ (°), I (rel.)
19.45, 79.5
23.29, 28.9
27.64, 31.0
30.52, 100.0
36.45, 87.9
39.12, 35.0
39.48, 31.3
44.38, 70.2
46.35, 25.2
47.62, 22.6
50.71, 40.7
67.12, 40.4

---

Record 2
Th3Sn4: simulated powder XRD pattern (copper Kα), based on the PBE geometry in Alexandria.
Intensities are scaled so that the largest is 100.

Atomic structure:
Unit cell a=6.2597 b=6.2597 c=16.0567 alpha=90.00 beta=90.00 gamma=138.70
Fractional positions:
Th  0.0670  0.9330  0.5000
Th  0.3381  0.6619  0.3493
Th  0.3388  0.6612  0.6507
Th  0.6612  0.3388  0.1507
Th  0.6619  0.3381  0.8493
Th  0.9330  0.0670  0.0000
Sn  0.9996  0.0004  0.2500
Sn  0.0004  0.9996  0.7500
Sn  0.2008  0.7992  0.0001
Sn  0.3748  0.6252  0.1436
Sn  0.3749  0.6251  0.8563
Sn  0.6251  0.3749  0.3563
Sn  0.6252  0.3748  0.6436
Sn  0.7992  0.2008  0.5001

Principal peaks in the range 2θ from 10° to 90°, in order of rising 2θ:
2θ (°), I (rel.)
24.23, 14.7
30.56, 43.6
31.06, 100.0
32.58, 14.4
33.49, 16.8
34.96, 17.2
38.05, 28.8
40.88, 23.6
45.95, 11.4
47.10, 11.9
66.41, 12.2
69.59, 13.5

---

Record 3
Ca3Ru4O14: simulated powder XRD pattern (copper Kα), based on the PBE geometry in Alexandria.
Intensities are scaled so that the largest is 100.

Atomic structure:
Unit cell a=7.2539 b=7.2539 c=7.2539 alpha=60.36 beta=60.36 gamma=60.36
Fractional positions:
Ca  0.0000  0.5000  0.5000
Ca  0.5000  0.0000  0.5000
Ca  0.5000  0.5000  0.0000
Ru  0.0000  0.0000  0.0000
Ru  0.0000  0.0000  0.5000
Ru  0.0000  0.5000  0.0000
Ru  0.5000  0.0000  0.0000
O  0.0576  0.6864  0.6864
O  0.0689  0.0689  0.6820
O  0.0689  0.6820  0.0689
O  0.3136  0.3136  0.9424
O  0.3136  0.9424  0.3136
O  0.3180  0.9311  0.9311
O  0.3653  0.3653  0.3653
O  0.6347  0.6347  0.6347
O  0.6820  0.0689  0.0689
O  0.6864  0.0576  0.6864
O  0.6864  0.6864  0.0576
O  0.9311  0.3180  0.9311
O  0.9311  0.9311  0.3180
O  0.9424  0.3136  0.3136

Principal peaks in the range 2θ from 10° to 90°, in order of rising 2θ:
2θ (°), I (rel.)
14.89, 73.0
28.76, 35.1
28.89, 14.5
30.04, 100.0
30.26, 34.8
34.89, 31.2
45.76, 13.8
50.02, 32.2
50.32, 32.3
59.45, 13.9
59.59, 27.3
59.85, 12.8

---

Record 4
NdFe9Si4: simulated powder XRD pattern (copper Kα), based on the PBE geometry in Alexandria.
Intensities are scaled so that the largest is 100.

Atomic structure:
Unit cell a=7.9835 b=7.9835 c=7.9835 alpha=121.32 beta=121.32 gamma=87.72
Fractional positions:
Nd  0.2500  0.2500  0.0000
Nd  0.7500  0.7500  0.0000
Fe  0.0000  0.5000  0.5000
Fe  0.0559  0.5559  0.2522
Fe  0.0672  0.7998  0.8671
Fe  0.1963  0.9441  0.5000
Fe  0.2002  0.0672  0.2674
Fe  0.2998  0.5672  0.8671
Fe  0.3037  0.8037  0.7478
Fe  0.4328  0.2998  0.7326
Fe  0.4441  0.6963  0.5000
Fe  0.5000  0.0000  0.5000
Fe  0.5559  0.3037  0.5000
Fe  0.5672  0.7002  0.2674
Fe  0.6963  0.1963  0.2522
Fe  0.7002  0.4328  0.1329
Fe  0.7998  0.9328  0.7326
Fe  0.8037  0.0559  0.5000
Fe  0.9328  0.2002  0.1329
Fe  0.9441  0.4441  0.7478
Si  0.0514  0.2076  0.5000
Si  0.2076  0.7076  0.1562
Si  0.2924  0.4486  0.5000
Si  0.4486  0.9486  0.1562
Si  0.5514  0.0514  0.8438
Si  0.7076  0.5514  0.5000
Si  0.7924  0.2924  0.8438
Si  0.9486  0.7924  0.5000

Principal peaks in the range 2θ from 10° to 90°, in order of rising 2θ:
2θ (°), I (rel.)
22.73, 13.2
27.57, 12.5
31.07, 15.7
35.15, 22.9
36.02, 23.7
36.31, 16.8
38.85, 26.7
39.65, 100.0
47.26, 31.0
48.18, 37.2
48.63, 22.2
56.92, 13.5

---

Record 5
KAs: simulated powder XRD pattern (copper Kα), based on the PBE geometry in Alexandria.
Intensities are scaled so that the largest is 100.

Atomic structure:
Unit cell a=5.2888 b=4.1083 c=6.4571 alpha=90.00 beta=114.09 gamma=90.00
Fractional positions:
K  0.1361  0.2500  0.2733
K  0.8639  0.7500  0.7267
As  0.4364  0.2500  0.8721
As  0.5636  0.7500  0.1279

Principal peaks in the range 2θ from 10° to 90°, in order of rising 2θ:
2θ (°), I (rel.)
15.03, 55.6
18.39, 58.7
28.29, 42.1
28.53, 79.8
33.90, 46.2
35.89, 100.0
37.56, 39.5
44.09, 21.4
51.48, 31.0
56.75, 19.5
57.42, 26.8
61.96, 19.1

---

Record 6
La8As3Se4O: simulated powder XRD pattern (copper Kα), based on the PBE geometry in Alexandria.
Intensities are scaled so that the largest is 100.

Atomic structure:
Unit cell a=8.5874 b=8.5874 c=8.5874 alpha=59.38 beta=59.38 gamma=59.38
Fractional positions:
La  0.2478  0.2478  0.2478
La  0.2606  0.7344  0.7344
La  0.2656  0.2656  0.7394
La  0.2656  0.7394  0.2656
La  0.7344  0.2606  0.7344
La  0.7344  0.7344  0.2606
La  0.7394  0.2656  0.2656
La  0.7522  0.7522  0.7522
As  0.0000  0.0000  0.5000
As  0.0000  0.5000  0.0000
As  0.5000  0.0000  0.0000
Se  0.0000  0.0000  0.0000
Se  0.0000  0.5000  0.5000
Se  0.5000  0.0000  0.5000
Se  0.5000  0.5000  0.0000
O  0.5000  0.5000  0.5000

Principal peaks in the range 2θ from 10° to 90°, in order of rising 2θ:
2θ (°), I (rel.)
25.61, 13.8
29.56, 100.0
42.09, 36.2
42.51, 36.5
51.92, 6.1
52.62, 18.9
61.36, 11.3
69.27, 14.7
69.86, 15.5
76.64, 5.1
77.50, 11.0
77.78, 5.7

---

Question: Which formula does entry 4 have?
Answer: NdFe9Si4